Diffraction record for CePa4P5. The powder diffractogram is calculated, not measured: it uses a DFT-relaxed cell (PBE, Alexandria) and λ = 1.5418 Å (Cu Kα).
Intensities are scaled so that the largest is 100.

The 12 most intense peaks (2θ from 10° to 80°), by intensity:
- 2θ = 27.4°, I 100
- 2θ = 31.7°, I 95
- 2θ = 45.5°, I 59
- 2θ = 53.9°, I 41
- 2θ = 75.3°, I 16
- 2θ = 75.4°, I 16
- 2θ = 56.5°, I 13
- 2θ = 56.6°, I 12
- 2θ = 45.6°, I 12
- 2θ = 66.3°, I 12
- 2θ = 73.2°, I 10
- 2θ = 54.0°, I 8

Cell and atoms:
abc: 6.911 6.911 9.783
angles: 118.19 118.19 33.49
Element x y z (fractional)
Ce 0.000 0.000 0.000
Pa 0.201 0.201 0.798
Pa 0.402 0.402 0.601
Pa 0.598 0.598 0.399
Pa 0.799 0.799 0.202
P 0.000 0.000 0.500
P 0.201 0.201 0.304
P 0.396 0.396 0.102
P 0.604 0.604 0.898
P 0.799 0.799 0.696